Diffraction record for SrHgOs. The powder diffractogram is simulated, not measured: it uses a DFT-relaxed cell (PBE, Alexandria) and λ = 1.5418 Å (Cu Kα).
Lines closer than 0.1° are merged.

Structural model:
Cell lengths 3.6684, 3.6684, 10.7792 Å; angles 90.00, 90.00, 90.00 degrees
Space group I4mm (No. 107)
Inequivalent atoms, fractional coordinates:
Sr: 0.0000 0.0000 0.0000
Hg: 0.0000 0.0000 0.2869
Os: 0.0000 0.0000 0.7017

Peak list (10 most intense, 2θ = 10–90°, by angle)
| two_theta | d_spacing | intensity | (hkl) |
| --- | --- | --- | --- |
| 16.4 | 5.390 | 68 | 0 0 2 |
| 34.6 | 2.594 | 87 | 1 1 0 |
| 35.0 | 2.567 | 100 | 1 0 3 |
| 38.5 | 2.337 | 34 | 1 1 2 |
| 48.7 | 1.869 | 22 | 1 1 4 |
| 49.0 | 1.859 | 25 | 1 0 5 |
| 49.7 | 1.834 | 31 | 2 0 0 |
| 62.2 | 1.492 | 38 | 2 1 3 |
| 65.8 | 1.420 | 25 | 1 0 7 |
| 86.7 | 1.123 | 25 | 2 1 7 |